Record 1
Theoretical powder diffractogram
Compound: LiCe2HO3
Radiation: copper Kα
Structure: DFT lattice parameters and positions (PBE)
Intensities are scaled so that the largest is 100.

Structure:
Cell lengths 6.7807, 6.7807, 6.7807 Å; angles 150.09, 147.89, 44.45 degrees
Sites, in units of the cell vectors:
Li 0.0000 0.0000 0.0000
Ce 0.3618 0.3618 0.0000
Ce 0.6382 0.6382 0.0000
H 0.0000 0.5000 0.5000
O 0.1769 0.1769 0.0000
O 0.5000 0.0000 0.5000
O 0.8231 0.8231 0.0000

Peak list (10 most intense, 5 to 70 degrees two-theta, in order of rising 2θ)
| 2θ/deg | I_rel |
| --- | --- |
| 24.8 | 84 |
| 26.4 | 48 |
| 28.4 | 60 |
| 32.0 | 54 |
| 33.4 | 66 |
| 35.1 | 100 |
| 45.8 | 85 |
| 48.6 | 24 |
| 56.9 | 34 |
| 60.2 | 25 |

Record 2
Theoretical powder diffractogram
Compound: NaCeH2S2O9
Radiation: copper Kα
Structure: DFT lattice parameters and positions (PBE)
Intensities are scaled so that the largest is 100.

Structure:
Cell lengths 7.1656, 7.1656, 12.7767 Å; angles 90.00, 90.00, 120.00 degrees
Sites, in units of the cell vectors:
Na 0.0007 0.4750 0.0000
Na 0.4743 0.9993 0.3333
Na 0.5250 0.5257 0.6667
Ce 0.4416 0.0013 0.8332
Ce 0.5598 0.5584 0.1666
Ce 0.9987 0.4402 0.4999
H 0.0347 0.9232 0.1297
H 0.0768 0.1115 0.7963
H 0.0947 0.0596 0.5359
H 0.8885 0.9653 0.4630
H 0.9404 0.0350 0.2026
H 0.9650 0.9053 0.8692
S 0.0027 0.4400 0.2479
S 0.4373 0.9973 0.5813
S 0.4422 0.0011 0.0866
S 0.5589 0.5578 0.4199
S 0.5600 0.5627 0.9146
S 0.9989 0.4411 0.7533
O 0.1022 0.0125 0.8386
O 0.1226 0.6218 0.3231
O 0.1337 0.3768 0.6911
O 0.1341 0.6269 0.8232
O 0.1525 0.4041 0.1813
O 0.2431 0.8663 0.0244
O 0.2516 0.8475 0.5146
O 0.3731 0.5072 0.4899
O 0.3761 0.1307 0.6472
O 0.3782 0.5008 0.9898
O 0.4120 0.1529 0.1542
O 0.4928 0.8659 0.1566
O 0.4992 0.3802 0.3424
O 0.4992 0.8774 0.6564
O 0.5155 0.3811 0.8433
O 0.5959 0.7484 0.8479
O 0.6189 0.1344 0.5100
O 0.6198 0.1191 0.0091
O 0.6232 0.7569 0.3578
O 0.7409 0.5880 0.4876
O 0.7546 0.6239 0.9805
O 0.8471 0.2591 0.8209
O 0.8656 0.4845 0.1767
O 0.8693 0.2454 0.3138
O 0.8809 0.5008 0.6757
O 0.9104 0.8978 0.1719
O 0.9875 0.0896 0.5053

Peak list (10 most intense, 5 to 70 degrees two-theta, in order of rising 2θ)
| 2θ/deg | I_rel |
| --- | --- |
| 14.3 | 60 |
| 15.9 | 100 |
| 20.9 | 27 |
| 24.9 | 55 |
| 28.8 | 79 |
| 31.5 | 81 |
| 35.8 | 22 |
| 41.0 | 33 |
| 48.1 | 58 |
| 52.7 | 20 |

Record 3
Theoretical powder diffractogram
Compound: CeNiSnH
Radiation: copper Kα
Structure: DFT lattice parameters and positions (PBE)
Intensities are scaled so that the largest is 100.

Structure:
Cell lengths 7.2272, 4.3731, 8.3037 Å; angles 90.00, 90.00, 90.00 degrees
Sites, in units of the cell vectors:
Ce 0.0105 0.2500 0.1919
Ce 0.4895 0.7500 0.6919
Ce 0.5105 0.2500 0.3081
Ce 0.9895 0.7500 0.8081
Ni 0.2163 0.7500 0.3975
Ni 0.2837 0.2500 0.8975
Ni 0.7163 0.7500 0.1025
Ni 0.7837 0.2500 0.6025
Sn 0.1687 0.2500 0.5727
Sn 0.3313 0.7500 0.0727
Sn 0.6687 0.2500 0.9273
Sn 0.8313 0.7500 0.4273
H 0.0582 0.2500 0.9193
H 0.4418 0.7500 0.4193
H 0.5582 0.2500 0.5807
H 0.9418 0.7500 0.0807

Peak list (10 most intense, 5 to 70 degrees two-theta, in order of rising 2θ)
| 2θ/deg | I_rel |
| --- | --- |
| 32.2 | 86 |
| 32.9 | 37 |
| 33.9 | 100 |
| 34.7 | 22 |
| 38.5 | 58 |
| 38.9 | 37 |
| 41.3 | 42 |
| 53.7 | 18 |
| 58.0 | 21 |
| 62.8 | 35 |

Record 4
Theoretical powder diffractogram
Compound: CeP3H8O7
Radiation: copper Kα
Structure: DFT lattice parameters and positions (PBE)
Intensities are scaled so that the largest is 100.

Structure:
Cell lengths 7.2386, 8.0803, 9.0443 Å; angles 110.75, 97.58, 104.93 degrees
Sites, in units of the cell vectors:
Ce 0.1536 0.3122 0.3677
Ce 0.8464 0.6878 0.6323
P 0.0303 0.1890 0.9140
P 0.3521 0.6860 0.7664
P 0.4683 0.7184 0.3106
P 0.5317 0.2816 0.6894
P 0.6479 0.3140 0.2336
P 0.9697 0.8110 0.0860
H 0.0361 0.3468 0.8772
H 0.1681 0.9909 0.5484
H 0.1803 0.7836 0.4708
H 0.2241 0.1788 0.9166
H 0.3495 0.6463 0.9070
H 0.3675 0.8777 0.8234
H 0.4515 0.8830 0.2952
H 0.4598 0.5989 0.1488
H 0.5402 0.4011 0.8512
H 0.5485 0.1170 0.7048
H 0.6325 0.1223 0.1766
H 0.6505 0.3537 0.0930
H 0.7759 0.8212 0.0834
H 0.8197 0.2164 0.5292
H 0.8319 0.0091 0.4516
H 0.9639 0.6532 0.1228
O 0.0013 0.7678 0.9148
O 0.1163 0.9832 0.2266
O 0.1222 0.8650 0.5487
O 0.1549 0.5674 0.6403
O 0.2841 0.6322 0.3581
O 0.3285 0.2319 0.5806
O 0.4648 0.3401 0.2903
O 0.5352 0.6599 0.7097
O 0.6715 0.7681 0.4194
O 0.7159 0.3678 0.6419
O 0.8451 0.4326 0.3597
O 0.8778 0.1350 0.4513
O 0.8837 0.0168 0.7734
O 0.9987 0.2322 0.0852

Peak list (10 most intense, 5 to 70 degrees two-theta, in order of rising 2θ)
| 2θ/deg | I_rel |
| --- | --- |
| 10.8 | 89 |
| 12.7 | 100 |
| 13.1 | 30 |
| 14.8 | 40 |
| 19.3 | 28 |
| 24.8 | 29 |
| 25.0 | 37 |
| 25.1 | 30 |
| 25.8 | 31 |
| 27.8 | 26 |

Record 5
Theoretical powder diffractogram
Compound: RbCeH2S2O9
Radiation: copper Kα
Structure: DFT lattice parameters and positions (PBE)
Intensities are scaled so that the largest is 100.

Structure:
Cell lengths 10.2883, 8.9090, 10.6259 Å; angles 90.00, 118.51, 90.00 degrees
Sites, in units of the cell vectors:
Rb 0.2185 0.1865 0.1932
Rb 0.2185 0.3135 0.6932
Rb 0.7815 0.6865 0.3068
Rb 0.7815 0.8135 0.8068
Ce 0.2635 0.6530 0.0295
Ce 0.2635 0.8470 0.5295
Ce 0.7365 0.1530 0.4705
Ce 0.7365 0.3470 0.9705
H 0.2713 0.5193 0.4350
H 0.2713 0.9807 0.9350
H 0.4182 0.5343 0.5794
H 0.4182 0.9657 0.0794
H 0.5818 0.0343 0.9206
H 0.5818 0.4657 0.4206
H 0.7287 0.0193 0.0650
H 0.7287 0.4807 0.5650
S 0.0535 0.6309 0.1762
S 0.0535 0.8691 0.6762
S 0.4774 0.6824 0.8854
S 0.4774 0.8176 0.3854
S 0.5226 0.1824 0.6146
S 0.5226 0.3176 0.1146
S 0.9465 0.1309 0.3238
S 0.9465 0.3691 0.8238
O 0.0551 0.7400 0.0691
O 0.0551 0.7600 0.5691
O 0.0714 0.7100 0.3066
O 0.0714 0.7900 0.8066
O 0.0910 0.0509 0.3877
O 0.0910 0.4491 0.8877
O 0.1797 0.5252 0.2122
O 0.1797 0.9748 0.7122
O 0.3114 0.5523 0.5352
O 0.3114 0.9477 0.0352
O 0.3319 0.6048 0.8365
O 0.3319 0.8952 0.3365
O 0.4085 0.0761 0.6095
O 0.4085 0.4239 0.1095
O 0.4615 0.6966 0.2819
O 0.4615 0.8034 0.7819
O 0.4796 0.2453 0.4704
O 0.4796 0.2547 0.9704
O 0.5204 0.7453 0.0296
O 0.5204 0.7547 0.5296
O 0.5385 0.1966 0.2181
O 0.5385 0.3034 0.7181
O 0.5915 0.5761 0.8905
O 0.5915 0.9239 0.3905
O 0.6681 0.1048 0.6635
O 0.6681 0.3952 0.1635
O 0.6886 0.0523 0.9648
O 0.6886 0.4477 0.4648
O 0.8203 0.0252 0.2878
O 0.8203 0.4748 0.7878
O 0.9090 0.5509 0.1123
O 0.9090 0.9491 0.6123
O 0.9286 0.2100 0.1934
O 0.9286 0.2900 0.6934
O 0.9449 0.2400 0.4309
O 0.9449 0.2600 0.9309

Peak list (10 most intense, 5 to 70 degrees two-theta, in order of rising 2θ)
| 2θ/deg | I_rel |
| --- | --- |
| 13.7 | 90 |
| 14.0 | 45 |
| 19.5 | 32 |
| 19.9 | 34 |
| 22.1 | 31 |
| 26.0 | 91 |
| 27.2 | 68 |
| 28.3 | 100 |
| 39.9 | 37 |
| 40.1 | 35 |